Entry 1:
Structure and computed powder diffractogram of K4CeTe4 (a crystal structure in Alexandria, relaxed with GGA-PBE; Cu Kα X-rays).

Cell lengths 9.332, 9.332, 9.332 Å; angles 126.40, 126.40, 79.23 degrees
Atoms (fractional coordinates):
K: 0.000 0.500 0.500
K: 0.201 0.201 0.000
K: 0.500 0.000 0.500
K: 0.799 0.799 0.000
Ce: 0.500 0.500 0.000
Te: 0.177 0.588 0.000
Te: 0.412 0.412 0.589
Te: 0.588 0.177 0.000
Te: 0.823 0.823 0.411

Main lines, in order of rising 2θ (2θ from 10° to 80°):
| 2θ (°) | I/Imax |
| --- | --- |
| 12.19 | 62.1 |
| 19.36 | 100.0 |
| 24.46 | 19.8 |
| 30.04 | 35.3 |
| 30.20 | 37.2 |
| 32.77 | 55.9 |
| 35.99 | 19.9 |
| 37.14 | 16.4 |
| 39.10 | 21.2 |
| 40.59 | 14.0 |



Entry 2:
Structure and computed powder diffractogram of Pm4Tl2Sn3 (a crystal structure in Alexandria, relaxed with GGA-PBE; Cu Kα X-rays).

Cell lengths 8.618, 8.618, 10.008 Å; angles 90.00, 90.00, 129.54 degrees
Atoms (fractional coordinates):
Pm: 0.198 0.802 0.991
Pm: 0.209 0.291 0.750
Pm: 0.291 0.209 0.250
Pm: 0.302 0.698 0.491
Pm: 0.698 0.302 0.509
Pm: 0.709 0.791 0.750
Pm: 0.791 0.709 0.250
Pm: 0.802 0.198 0.009
Tl: 0.103 0.897 0.594
Tl: 0.397 0.603 0.094
Tl: 0.603 0.397 0.906
Tl: 0.897 0.103 0.406
Sn: 0.000 0.000 0.000
Sn: 0.002 0.498 0.750
Sn: 0.498 0.002 0.250
Sn: 0.500 0.500 0.500
Sn: 0.502 0.998 0.750
Sn: 0.998 0.502 0.250

Main lines, in order of rising 2θ (2θ from 10° to 80°):
| 2θ (°) | I/Imax |
| --- | --- |
| 27.56 | 27.2 |
| 28.30 | 26.9 |
| 29.10 | 37.4 |
| 30.18 | 100.0 |
| 32.45 | 75.4 |
| 38.18 | 24.9 |
| 42.96 | 21.9 |
| 48.11 | 25.5 |
| 49.63 | 19.1 |
| 64.96 | 18.2 |



Entry 3:
Structure and computed powder diffractogram of Pb2BrO (a crystal structure in Alexandria, relaxed with GGA-PBE; Cu Kα X-rays).

Cell lengths 11.403, 11.403, 5.925 Å; angles 97.85, 97.85, 141.99 degrees
Atoms (fractional coordinates):
Pb: 0.005 0.370 0.631
Pb: 0.122 0.248 0.112
Pb: 0.248 0.122 0.612
Pb: 0.370 0.005 0.131
Pb: 0.630 0.995 0.869
Pb: 0.752 0.878 0.388
Pb: 0.878 0.752 0.888
Pb: 0.995 0.630 0.369
Br: 0.300 0.700 0.250
Br: 0.429 0.571 0.750
Br: 0.571 0.429 0.250
Br: 0.700 0.300 0.750
O: 0.003 0.997 0.250
O: 0.135 0.865 0.750
O: 0.865 0.135 0.250
O: 0.997 0.003 0.750

Main lines, in order of rising 2θ (2θ from 10° to 80°):
| 2θ (°) | I/Imax |
| --- | --- |
| 23.36 | 28.9 |
| 28.09 | 44.8 |
| 29.73 | 100.0 |
| 30.46 | 33.9 |
| 32.72 | 40.0 |
| 33.24 | 33.9 |
| 40.35 | 17.2 |
| 42.33 | 15.2 |
| 57.24 | 13.6 |
| 61.74 | 17.2 |



Entry 4:
Structure and computed powder diffractogram of K8Rb2HgAu (a crystal structure in Alexandria, relaxed with GGA-PBE; Cu Kα X-rays).

Cell lengths 7.435, 9.580, 11.690 Å; angles 90.12, 98.20, 90.04 degrees
Atoms (fractional coordinates):
K: 0.064 0.001 0.339
K: 0.092 0.501 0.351
K: 0.434 0.263 0.704
K: 0.434 0.737 0.704
K: 0.566 0.263 0.296
K: 0.566 0.737 0.296
K: 0.908 0.499 0.649
K: 0.936 0.999 0.661
Rb: 0.001 0.254 0.000
Rb: 0.999 0.746 0.000
Hg: 0.500 0.000 0.500
Au: 0.500 0.500 0.500

Main lines, in order of rising 2θ (2θ from 10° to 80°):
| 2θ (°) | I/Imax |
| --- | --- |
| 13.31 | 87.1 |
| 15.16 | 65.7 |
| 15.32 | 29.2 |
| 20.06 | 95.1 |
| 24.18 | 55.7 |
| 24.48 | 33.8 |
| 26.01 | 100.0 |
| 29.74 | 27.3 |
| 30.74 | 30.9 |
| 30.89 | 29.6 |



Entry 5:
Structure and computed powder diffractogram of Ce8In2Sn (a crystal structure in Alexandria, relaxed with GGA-PBE; Cu Kα X-rays).

Cell lengths 8.353, 8.353, 5.686 Å; angles 101.43, 101.43, 118.18 degrees
Atoms (fractional coordinates):
Ce: 0.082 0.275 0.591
Ce: 0.226 0.774 0.000
Ce: 0.275 0.082 0.591
Ce: 0.406 0.406 0.151
Ce: 0.594 0.594 0.849
Ce: 0.725 0.918 0.409
Ce: 0.774 0.226 0.000
Ce: 0.918 0.725 0.409
In: 0.311 0.689 0.500
In: 0.689 0.311 0.500
Sn: 0.000 0.000 0.000

Main lines, in order of rising 2θ (2θ from 10° to 80°):
| 2θ (°) | I/Imax |
| --- | --- |
| 30.22 | 79.9 |
| 32.15 | 100.0 |
| 33.20 | 38.9 |
| 33.73 | 33.6 |
| 34.18 | 17.8 |
| 35.38 | 52.9 |
| 55.21 | 14.3 |
| 58.64 | 15.5 |
| 59.09 | 21.0 |
| 67.43 | 16.7 |



Entry 6:
Structure and computed powder diffractogram of AlIrBr2 (a crystal structure in Alexandria, relaxed with GGA-PBE; Cu Kα X-rays).

Cell lengths 3.059, 4.001, 8.631 Å; angles 77.27, 80.25, 89.96 degrees
Atoms (fractional coordinates):
Al: 0.000 0.000 0.000
Ir: 0.500 0.500 0.000
Br: 0.358 0.359 0.298
Br: 0.642 0.641 0.702

Main lines, in order of rising 2θ (2θ from 10° to 80°):
| 2θ (°) | I/Imax |
| --- | --- |
| 10.67 | 100.0 |
| 22.80 | 45.9 |
| 22.93 | 41.0 |
| 29.70 | 45.3 |
| 32.39 | 32.4 |
| 37.00 | 54.3 |
| 44.20 | 11.8 |
| 44.69 | 11.1 |
| 45.34 | 15.2 |
| 49.99 | 19.0 |



Entry 7:
Structure and computed powder diffractogram of Pr2GaSi3 (a crystal structure in Alexandria, relaxed with GGA-PBE; Cu Kα X-rays).

Cell lengths 4.111, 4.245, 7.353 Å; angles 90.00, 90.00, 90.00 degrees
Atoms (fractional coordinates):
Pr: 0.000 0.000 0.000
Pr: 0.500 0.000 0.486
Ga: 0.000 0.500 0.660
Si: 0.000 0.500 0.326
Si: 0.500 0.500 0.161
Si: 0.500 0.500 0.834

Main lines, in order of rising 2θ (2θ from 10° to 80°):
| 2θ (°) | I/Imax |
| --- | --- |
| 24.21 | 19.0 |
| 24.81 | 31.0 |
| 32.21 | 49.9 |
| 32.68 | 100.0 |
| 42.60 | 17.8 |
| 42.96 | 33.0 |
| 44.05 | 15.5 |
| 55.61 | 20.8 |
| 62.10 | 21.9 |
| 71.70 | 19.2 |



Entry 8:
Structure and computed powder diffractogram of BC3 (a crystal structure in Alexandria, relaxed with GGA-PBE; Cu Kα X-rays).

Cell lengths 8.856, 8.856, 8.856 Å; angles 16.62, 16.62, 16.62 degrees
Atoms (fractional coordinates):
B: 0.000 0.000 0.000
B: 0.245 0.245 0.245
C: 0.062 0.062 0.062
C: 0.305 0.305 0.305
C: 0.494 0.494 0.494
C: 0.551 0.551 0.551
C: 0.748 0.748 0.748
C: 0.807 0.807 0.807

Main lines, in order of rising 2θ (2θ from 10° to 80°):
| 2θ (°) | I/Imax |
| --- | --- |
| 10.13 | 22.6 |
| 30.72 | 1.1 |
| 41.36 | 27.3 |
| 43.07 | 100.0 |
| 44.36 | 0.8 |
| 49.65 | 0.8 |
| 52.39 | 1.2 |
| 71.65 | 24.1 |
| 74.05 | 24.6 |
| 75.05 | 1.1 |



Entry 9:
Structure and computed powder diffractogram of B6MoN6 (a crystal structure in Alexandria, relaxed with GGA-PBE; Cu Kα X-rays).

Cell lengths 4.595, 4.595, 4.595 Å; angles 90.00, 90.00, 90.00 degrees
Atoms (fractional coordinates):
B: 0.000 0.241 0.500
B: 0.000 0.759 0.500
B: 0.241 0.500 0.000
B: 0.500 0.000 0.241
B: 0.500 0.000 0.759
B: 0.759 0.500 0.000
Mo: 0.000 0.000 0.000
N: 0.000 0.500 0.253
N: 0.000 0.500 0.747
N: 0.253 0.000 0.500
N: 0.500 0.253 0.000
N: 0.500 0.747 0.000
N: 0.747 0.000 0.500

Main lines, in order of rising 2θ (2θ from 10° to 80°):
| 2θ (°) | I/Imax |
| --- | --- |
| 19.32 | 100.0 |
| 27.45 | 22.4 |
| 33.79 | 30.8 |
| 39.21 | 31.7 |
| 44.07 | 46.6 |
| 48.53 | 63.4 |
| 60.44 | 21.0 |
| 67.62 | 12.1 |
| 74.44 | 9.0 |
| 77.77 | 28.7 |



Entry 10:
Structure and computed powder diffractogram of Ta4CdSe8 (a crystal structure in Alexandria, relaxed with GGA-PBE; Cu Kα X-rays).

Cell lengths 8.839, 8.839, 8.839 Å; angles 46.40, 46.40, 46.40 degrees
Atoms (fractional coordinates):
Ta: 0.000 0.000 0.000
Ta: 0.000 0.500 0.500
Ta: 0.500 0.000 0.500
Ta: 0.500 0.500 0.000
Cd: 0.500 0.500 0.500
Se: 0.239 0.239 0.736
Se: 0.239 0.736 0.239
Se: 0.262 0.262 0.262
Se: 0.264 0.761 0.761
Se: 0.736 0.239 0.239
Se: 0.738 0.738 0.738
Se: 0.761 0.264 0.761
Se: 0.761 0.761 0.264

Main lines, in order of rising 2θ (2θ from 10° to 80°):
| 2θ (°) | I/Imax |
| --- | --- |
| 11.24 | 100.0 |
| 29.87 | 16.9 |
| 33.37 | 87.1 |
| 40.11 | 21.8 |
| 42.87 | 38.3 |
| 52.31 | 13.7 |
| 52.57 | 25.0 |
| 53.94 | 12.1 |
| 63.70 | 13.3 |
| 72.49 | 13.1 |



Entry 11:
Structure and computed powder diffractogram of Tl4PdCl6 (a crystal structure in Alexandria, relaxed with GGA-PBE; Cu Kα X-rays).

Cell lengths 8.499, 8.499, 9.208 Å; angles 90.00, 90.00, 90.00 degrees
Atoms (fractional coordinates):
Tl: 0.158 0.342 0.250
Tl: 0.158 0.342 0.750
Tl: 0.342 0.842 0.250
Tl: 0.342 0.842 0.750
Tl: 0.658 0.158 0.250
Tl: 0.658 0.158 0.750
Tl: 0.842 0.658 0.250
Tl: 0.842 0.658 0.750
Pd: 0.000 0.000 0.000
Pd: 0.500 0.500 0.500
Cl: 0.000 0.000 0.276
Cl: 0.000 0.000 0.724
Cl: 0.123 0.720 0.000
Cl: 0.220 0.623 0.500
Cl: 0.280 0.123 0.000
Cl: 0.377 0.220 0.500
Cl: 0.500 0.500 0.224
Cl: 0.500 0.500 0.776
Cl: 0.623 0.780 0.500
Cl: 0.720 0.877 0.000
Cl: 0.780 0.377 0.500
Cl: 0.877 0.280 0.000

Main lines, in order of rising 2θ (2θ from 10° to 80°):
| 2θ (°) | I/Imax |
| --- | --- |
| 19.28 | 28.1 |
| 23.41 | 52.1 |
| 30.50 | 100.0 |
| 33.34 | 33.8 |
| 38.80 | 13.4 |
| 39.13 | 15.8 |
| 46.10 | 18.6 |
| 48.38 | 15.4 |
| 49.63 | 16.0 |
| 52.33 | 17.7 |



Entry 12:
Structure and computed powder diffractogram of Pr4ZnGa12 (a crystal structure in Alexandria, relaxed with GGA-PBE; Cu Kα X-rays).

Cell lengths 7.720, 7.720, 7.720 Å; angles 109.47, 109.47, 109.47 degrees
Atoms (fractional coordinates):
Pr: 0.000 0.000 0.500
Pr: 0.000 0.500 0.000
Pr: 0.500 0.000 0.000
Pr: 0.500 0.500 0.500
Zn: 0.000 0.000 0.000
Ga: 0.000 0.306 0.306
Ga: 0.000 0.694 0.694
Ga: 0.250 0.500 0.750
Ga: 0.250 0.750 0.500
Ga: 0.306 0.000 0.306
Ga: 0.306 0.306 0.000
Ga: 0.500 0.250 0.750
Ga: 0.500 0.750 0.250
Ga: 0.694 0.000 0.694
Ga: 0.694 0.694 0.000
Ga: 0.750 0.250 0.500
Ga: 0.750 0.500 0.250

Main lines, in order of rising 2θ (2θ from 10° to 80°):
| 2θ (°) | I/Imax |
| --- | --- |
| 28.32 | 27.3 |
| 34.86 | 100.0 |
| 37.76 | 10.0 |
| 40.48 | 59.7 |
| 43.05 | 7.8 |
| 47.86 | 9.7 |
| 58.58 | 32.9 |
| 66.32 | 10.1 |
| 70.01 | 27.8 |
| 73.62 | 9.0 |



Entry 13:
Structure and computed powder diffractogram of LiPrAl (a crystal structure in Alexandria, relaxed with GGA-PBE; Cu Kα X-rays).

Cell lengths 5.918, 5.918, 5.168 Å; angles 115.78, 115.78, 63.06 degrees
Atoms (fractional coordinates):
Li: 0.013 0.013 0.263
Li: 0.987 0.987 0.737
Pr: 0.390 0.390 0.639
Pr: 0.610 0.610 0.361
Al: 0.000 0.500 0.000
Al: 0.500 0.000 0.000

Main lines, in order of rising 2θ (2θ from 10° to 80°):
| 2θ (°) | I/Imax |
| --- | --- |
| 17.60 | 100.0 |
| 20.00 | 27.3 |
| 28.85 | 20.1 |
| 30.54 | 93.6 |
| 34.72 | 26.2 |
| 35.36 | 46.0 |
| 35.57 | 37.4 |
| 39.18 | 26.8 |
| 46.43 | 14.8 |
| 52.19 | 20.8 |